# 1
Theoretical powder X-ray diffraction pattern of SmTl2IO8 for copper Kα, from the PBE geometry in Alexandria.
Intensities are scaled so that the largest is 100.

Atomic structure:
Unit cell a=5.1235 b=5.1251 c=6.8885 alpha=93.34 beta=93.16 gamma=90.96
Space group P-1 (No. 2)
Unique sites:
Sm1 0.0000 0.0000 0.0000 [1 per cell]
Tl1 0.4702 0.4694 0.7500 [2 per cell]
I1 0.0000 0.0000 0.5000 [1 per cell]
O1 0.1604 0.8094 0.2943 [2 per cell]
O2 0.1852 0.8344 0.7046 [2 per cell]
O3 0.2763 0.2686 0.4967 [2 per cell]
O4 0.3171 0.3077 0.0231 [2 per cell]

Peak list (8 most intense, 10° ≤ 2θ ≤ 90°, by angle)
d/Å, I_rel
3.654, 100
3.581, 83
2.930, 91
2.777, 75
2.558, 48
1.964, 29
1.892, 32
1.828, 38

# 2
Theoretical powder X-ray diffraction pattern of SmTl2IO6 for copper Kα, from the PBE geometry in Alexandria.
Intensities are scaled so that the largest is 100.

Atomic structure:
Unit cell a=6.3049 b=6.3049 c=30.2114 alpha=90.00 beta=90.00 gamma=120.00
Space group R-3m (No. 166, hexagonal axes)
Unique sites:
Sm1 0.0000 0.0000 0.1041 [6 per cell]
Tl1 0.0000 0.0000 0.2422 [6 per cell]
Tl2 0.0000 0.0000 0.3702 [6 per cell]
I1 0.0000 0.0000 0.0000 [3 per cell]
I2 0.0000 0.0000 0.5000 [3 per cell]
O1 0.0486 0.5243 0.2030 [18 per cell]
O2 0.0550 0.5275 0.6278 [18 per cell]

Peak list (8 most intense, 10° ≤ 2θ ≤ 90°, by angle)
d/Å, I_rel
3.386, 16
3.152, 100
3.106, 74
2.212, 31
1.820, 20
1.811, 33
1.697, 17
1.576, 17